Starting from DFT lattice parameters and positions (PBE), the powder X-ray diffraction pattern of KTlGaPt was calculated for CuKα.
Lines closer than 0.1° are merged.

Main lines, by angle (2θ = 15–90°):
2θ (°)  Rel. int.
24.48  66.3
29.94  34.6
31.04  82.2
31.39  79.4
31.89  100.0
36.37  50.6
37.38  43.1
37.75  50.5
40.27  44.8
40.45  66.1
41.96  56.9
53.09  36.4

Crystal structure
Unit cell a=6.571 b=6.571 c=8.023 alpha=90.75 beta=90.75 gamma=38.26
Atoms (fractional coordinates):
K1 0.050 0.050 0.268
K2 0.950 0.950 0.732
Tl1 0.347 0.347 0.046
Tl2 0.653 0.653 0.954
Ga1 0.310 0.310 0.436
Ga2 0.690 0.690 0.564
Pt1 0.219 0.219 0.721
Pt2 0.781 0.781 0.279

=====

Starting from DFT lattice parameters and positions (PBE), the powder X-ray diffraction pattern of La2Ga2Ni3Pd was calculated for CuKα.
Lines closer than 0.1° are merged.

Main lines, by angle (2θ = 15–90°):
2θ (°)  Rel. int.
24.07  15.8
25.82  28.0
30.49  26.0
37.09  100.0
37.35  16.7
42.35  84.5
57.54  27.1
57.73  27.6
63.15  11.9
73.44  9.2
73.99  25.1
77.46  13.5

Crystal structure
Unit cell a=4.268 b=4.268 c=9.630 alpha=90.00 beta=90.00 gamma=120.00
Atoms (fractional coordinates):
La1 0.000 0.000 0.000
La2 0.333 0.667 0.487
Ga1 0.667 0.333 0.242
Ga2 0.667 0.333 0.729
Ni1 0.000 0.000 0.288
Ni2 0.000 0.000 0.686
Ni3 0.333 0.667 0.195
Pd1 0.333 0.667 0.808

=====

Starting from DFT lattice parameters and positions (PBE), the powder X-ray diffraction pattern of La2GaSiNi4 was calculated for CuKα.
Lines closer than 0.1° are merged.

Main lines, by angle (2θ = 15–90°):
2θ (°)  Rel. int.
24.89  23.4
26.53  46.4
30.97  16.4
36.75  24.0
37.31  100.0
43.83  75.6
58.49  36.3
58.88  25.5
72.63  15.4
76.22  23.1
80.54  11.9
88.86  9.2

Crystal structure
Unit cell a=4.131 b=4.131 c=9.782 alpha=90.00 beta=90.00 gamma=120.00
Atoms (fractional coordinates):
La1 0.333 0.667 0.251
La2 0.667 0.333 0.749
Ga1 0.000 0.000 0.000
Si1 0.000 0.000 0.500
Ni1 0.333 0.667 0.545
Ni2 0.333 0.667 0.953
Ni3 0.667 0.333 0.047
Ni4 0.667 0.333 0.455

=====

Starting from DFT lattice parameters and positions (PBE), the powder X-ray diffraction pattern of La2ZnGa2S6O was calculated for CuKα.
Lines closer than 0.1° are merged.

Main lines, by angle (2θ = 15–90°):
2θ (°)  Rel. int.
19.76  12.4
23.91  20.4
25.75  100.0
30.09  27.7
36.39  23.2
38.33  12.7
40.76  11.9
42.47  26.8
43.48  10.4
49.80  10.3
54.73  16.7
61.21  10.9

Crystal structure
Unit cell a=9.393 b=9.393 c=6.103 alpha=90.00 beta=90.00 gamma=90.00
Atoms (fractional coordinates):
La1 0.155 0.345 0.009
La2 0.345 0.845 0.991
La3 0.655 0.155 0.991
La4 0.845 0.655 0.009
Zn1 0.000 0.000 0.500
Zn2 0.500 0.500 0.500
Ga1 0.128 0.628 0.414
Ga2 0.372 0.128 0.586
Ga3 0.628 0.872 0.586
Ga4 0.872 0.372 0.414
S1 0.065 0.832 0.241
S2 0.131 0.631 0.781
S3 0.168 0.065 0.759
S4 0.332 0.565 0.241
S5 0.369 0.131 0.219
S6 0.435 0.332 0.759
S7 0.565 0.668 0.759
S8 0.631 0.869 0.219
S9 0.668 0.435 0.241
S10 0.832 0.935 0.759
S11 0.869 0.369 0.781
S12 0.935 0.168 0.241
O1 0.000 0.500 0.264
O2 0.500 0.000 0.736

=====

Starting from DFT lattice parameters and positions (PBE), the powder X-ray diffraction pattern of La2Ga5Pd3 was calculated for CuKα.
Lines closer than 0.1° are merged.

Main lines, by angle (2θ = 15–90°):
2θ (°)  Rel. int.
27.72  17.1
32.66  61.9
32.89  100.0
34.93  67.3
38.03  15.5
38.24  23.3
41.55  86.3
48.21  17.8
52.40  20.0
55.54  22.1
63.10  15.7
72.87  14.4

Crystal structure
Unit cell a=8.806 b=8.806 c=8.806 alpha=106.98 beta=86.09 gamma=140.90
Atoms (fractional coordinates):
La1 0.135 0.226 0.361
La2 0.365 0.726 0.090
La3 0.635 0.274 0.910
La4 0.865 0.774 0.639
Ga1 0.037 0.750 0.287
Ga2 0.100 0.660 0.760
Ga3 0.250 0.250 0.000
Ga4 0.400 0.160 0.560
Ga5 0.463 0.750 0.713
Ga6 0.537 0.250 0.287
Ga7 0.600 0.840 0.440
Ga8 0.750 0.750 0.000
Ga9 0.900 0.340 0.240
Ga10 0.963 0.250 0.713
Pd1 0.142 0.898 0.040
Pd2 0.250 0.750 0.500
Pd3 0.358 0.398 0.756
Pd4 0.642 0.602 0.244
Pd5 0.750 0.250 0.500
Pd6 0.858 0.102 0.960

=====

Starting from DFT lattice parameters and positions (PBE), the powder X-ray diffraction pattern of La2Ga8Pd was calculated for CuKα.
Lines closer than 0.1° are merged.

Main lines, by angle (2θ = 15–90°):
2θ (°)  Rel. int.
19.91  20.1
30.73  11.8
32.37  29.9
36.89  100.0
39.12  15.0
40.45  54.7
42.52  9.7
57.53  19.0
58.53  18.0
71.23  30.7
72.14  10.7
72.67  9.3

Crystal structure
Unit cell a=4.460 b=4.460 c=11.514 alpha=90.00 beta=90.00 gamma=90.00
Atoms (fractional coordinates):
La1 0.000 0.000 0.193
La2 0.000 0.000 0.807
Ga1 0.000 0.500 0.000
Ga2 0.000 0.500 0.380
Ga3 0.000 0.500 0.620
Ga4 0.500 0.000 0.000
Ga5 0.500 0.000 0.380
Ga6 0.500 0.000 0.620
Ga7 0.500 0.500 0.193
Ga8 0.500 0.500 0.807
Pd1 0.000 0.000 0.500